The following is a simulated X-ray diffraction stick pattern of CsPdCl3. It was derived from a DFT-relaxed cell (GGA-PBE, the Materials Project), using Cu Kα.

Top 8 peaks for 2θ = 10–80°, by angle:
h k l	d [Å]	I_rel
1 1 0	3.580	100.0
1 1 1	2.923	16.5
2 0 0	2.532	57.9
2 1 1	2.067	44.4
2 2 0	1.790	38.7
3 1 0	1.601	20.0
2 2 2	1.462	12.9
3 2 1	1.353	22.8

```
data_CsPdCl3
_chemical_formula_sum 'Cs1 Pd1 Cl3'
_space_group_name_H-M_alt 'P m -3 m'
_space_group_IT_number 221
_space_group_name_Hall '-P 4 2 3'
_cell_length_a 5.0632
_cell_length_b 5.0632
_cell_length_c 5.0632
_cell_angle_alpha 90.00
_cell_angle_beta 90.00
_cell_angle_gamma 90.00
loop_
_atom_site_label
_atom_site_fract_x
_atom_site_fract_y
_atom_site_fract_z
Cs1 0.0000 0.0000 0.0000
Pd1 0.5000 0.5000 0.5000
Cl1 0.0000 0.5000 0.5000
```


The following is a simulated X-ray diffraction stick pattern of Cs3PrCl6. It was derived from a DFT-relaxed cell (GGA-PBE, the Materials Project), using Cu Kα.

Top 8 peaks for 2θ = 10–80°, by angle:
h k l	d [Å]	I_rel
6 0 0	4.526	27.9
0 2 0	4.295	35.1
5 1 1	4.162	66.2
6 0 -2	4.071	26.2
1 1 -3	4.020	100.0
6 2 -1	3.110	26.1
6 2 -2	2.955	68.1
7 1 -5	2.314	29.2

```
data_Cs3PrCl6
_chemical_formula_sum 'Cs24 Pr8 Cl48'
_space_group_name_H-M_alt 'C 1 2/c 1'
_space_group_IT_number 15
_cell_length_a 27.4422
_cell_length_b 8.5909
_cell_length_c 13.6474
_cell_angle_alpha 90.00
_cell_angle_beta 99.52
_cell_angle_gamma 90.00
loop_
_space_group_symop_operation_xyz
'x,y,z'
'-x,-y,-z'
'-x,y,-z+1/2'
'x,-y,z+1/2'
'x+1/2,y+1/2,z'
'-x+1/2,-y+1/2,-z'
'-x+1/2,y+1/2,-z+1/2'
'x+1/2,-y+1/2,z+1/2'
loop_
_atom_site_label
_atom_site_fract_x
_atom_site_fract_y
_atom_site_fract_z
Cs1 0.0492 0.2468 0.4327
Cs2 0.1534 0.1886 0.1441
Cs3 0.1621 0.3120 0.7993
Pr1 0.0000 0.2822 0.7500
Pr2 0.2500 0.2500 0.5000
Cl1 0.0582 0.0569 0.6800
Cl2 0.0583 0.2752 0.9342
Cl3 0.0579 0.4755 0.1961
Cl4 0.1729 0.0528 0.4185
Cl5 0.1771 0.4568 0.5350
Cl6 0.2496 0.1112 0.6843
```


The following is a simulated X-ray diffraction stick pattern of Cs2PrCl5. It was derived from a DFT-relaxed cell (GGA-PBE, the Materials Project), using Cu Kα.

Top 8 peaks for 2θ = 10–80°, by angle:
h k l	d [Å]	I_rel
0 0 2	4.349	40.3
3 0 1	4.151	100.0
1 2 1	3.909	68.4
2 2 0	3.859	43.8
1 2 2	3.084	92.5
2 2 2	2.887	48.7
5 2 1	2.325	39.6
0 4 0	2.301	33.0

```
data_Cs2PrCl5
_chemical_formula_sum 'Cs8 Pr4 Cl20'
_space_group_name_H-M_alt 'P n m a'
_space_group_IT_number 62
_cell_length_a 14.1657
_cell_length_b 9.2032
_cell_length_c 8.6973
_cell_angle_alpha 90.00
_cell_angle_beta 90.00
_cell_angle_gamma 90.00
loop_
_space_group_symop_operation_xyz
'x,y,z'
'-x,-y,-z'
'-x+1/2,-y,z+1/2'
'x+1/2,y,-z+1/2'
'x+1/2,-y+1/2,-z+1/2'
'-x+1/2,y+1/2,z+1/2'
'-x,y+1/2,-z'
'x,-y+1/2,z'
loop_
_atom_site_label
_atom_site_fract_x
_atom_site_fract_y
_atom_site_fract_z
Cs1 0.1719 0.0062 0.0526
Pr1 0.0028 0.2500 0.5673
Cl1 0.0120 0.2500 0.8912
Cl2 0.0690 0.5398 0.6535
Cl3 0.1663 0.2500 0.3889
Cl4 0.1885 0.7500 0.3492
```


The following is a simulated X-ray diffraction stick pattern of Cs3PrCl6. It was derived from a DFT-relaxed cell (GGA-PBE, the Materials Project), using Cu Kα.

Top 8 peaks for 2θ = 10–80°, by angle:
h k l	d [Å]	I_rel
2 2 0	4.274	100.0
4 0 0	3.022	53.9
4 2 2	2.467	46.3
4 4 0	2.137	37.6
6 2 0	1.911	24.7
6 4 2	1.615	27.9
6 6 0	1.425	12.8
8 4 0	1.351	15.4

```
data_Cs3PrCl6
_chemical_formula_sum 'Cs12 Pr4 Cl24'
_space_group_name_H-M_alt 'F m -3 m'
_space_group_IT_number 225
_space_group_name_Hall '-F 4 2 3'
_cell_length_a 12.0880
_cell_length_b 12.0880
_cell_length_c 12.0880
_cell_angle_alpha 90.00
_cell_angle_beta 90.00
_cell_angle_gamma 90.00
loop_
_atom_site_label
_atom_site_fract_x
_atom_site_fract_y
_atom_site_fract_z
Cs1 0.0000 0.0000 0.0000
Cs2 0.2500 0.2500 0.2500
Pr1 0.0000 0.0000 0.5000
Cl1 0.0000 0.0000 0.2718
```


The following is a simulated X-ray diffraction stick pattern of Cs2RbPrCl6. It was derived from a DFT-relaxed cell (GGA-PBE, the Materials Project), using Cu Kα.

Top 8 peaks for 2θ = 10–80°, by angle:
h k l	d [Å]	I_rel
2 2 0	4.173	100.0
2 2 2	3.407	14.7
4 0 0	2.951	59.1
4 2 2	2.409	46.7
4 4 0	2.086	41.1
6 2 0	1.866	23.7
6 4 2	1.577	27.1
8 4 0	1.320	17.1

```
data_Cs2RbPrCl6
_chemical_formula_sum 'Cs8 Rb4 Pr4 Cl24'
_space_group_name_H-M_alt 'F m -3 m'
_space_group_IT_number 225
_space_group_name_Hall '-F 4 2 3'
_cell_length_a 11.8024
_cell_length_b 11.8024
_cell_length_c 11.8024
_cell_angle_alpha 90.00
_cell_angle_beta 90.00
_cell_angle_gamma 90.00
loop_
_atom_site_label
_atom_site_fract_x
_atom_site_fract_y
_atom_site_fract_z
Cs1 0.2500 0.2500 0.2500
Rb1 0.0000 0.0000 0.0000
Pr1 0.0000 0.0000 0.5000
Cl1 0.0000 0.0000 0.2665
```


The following is a simulated X-ray diffraction stick pattern of CsRb2SbCl6. It was derived from a DFT-relaxed cell (GGA-PBE, the Materials Project), using Cu Kα.

Top 8 peaks for 2θ = 10–80°, by angle:
h k l	d [Å]	I_rel
2 0 0	5.915	22.6
2 2 0	4.183	100.0
4 0 0	2.958	64.9
4 2 2	2.415	44.6
4 4 0	2.091	43.8
6 2 0	1.871	25.5
6 4 2	1.581	27.8
8 4 0	1.323	16.9

```
data_CsRb2SbCl6
_chemical_formula_sum 'Cs4 Rb8 Sb4 Cl24'
_space_group_name_H-M_alt 'F m -3 m'
_space_group_IT_number 225
_space_group_name_Hall '-F 4 2 3'
_cell_length_a 11.8302
_cell_length_b 11.8302
_cell_length_c 11.8302
_cell_angle_alpha 90.00
_cell_angle_beta 90.00
_cell_angle_gamma 90.00
loop_
_atom_site_label
_atom_site_fract_x
_atom_site_fract_y
_atom_site_fract_z
Cs1 0.0000 0.0000 0.0000
Rb1 0.2500 0.2500 0.2500
Sb1 0.0000 0.0000 0.5000
Cl1 0.0000 0.0000 0.2749
```


The following is a simulated X-ray diffraction stick pattern of CsRb2ScCl6. It was derived from a DFT-relaxed cell (GGA-PBE, the Materials Project), using Cu Kα.

Top 8 peaks for 2θ = 10–80°, by angle:
h k l	d [Å]	I_rel
2 2 0	4.060	100.0
2 2 2	3.315	20.3
4 0 0	2.871	74.0
3 3 1	2.634	18.3
4 2 2	2.344	39.9
4 4 0	2.030	46.8
6 2 0	1.816	27.6
6 4 2	1.534	27.9

```
data_CsRb2ScCl6
_chemical_formula_sum 'Cs4 Rb8 Sc4 Cl24'
_space_group_name_H-M_alt 'F m -3 m'
_space_group_IT_number 225
_space_group_name_Hall '-F 4 2 3'
_cell_length_a 11.4825
_cell_length_b 11.4825
_cell_length_c 11.4825
_cell_angle_alpha 90.00
_cell_angle_beta 90.00
_cell_angle_gamma 90.00
loop_
_atom_site_label
_atom_site_fract_x
_atom_site_fract_y
_atom_site_fract_z
Cs1 0.0000 0.0000 0.0000
Rb1 0.2500 0.2500 0.2500
Sc1 0.0000 0.0000 0.5000
Cl1 0.0000 0.0000 0.2825
```